Simulated X-ray powder pattern
Compound: Ba5Mg4Si4
Radiation: Cu Ka
Structure: a DFT-relaxed cell (GGA-PBE, Alexandria)
Kinematic intensities with the Lorentz-polarization factor, no thermal factor.

The 10 most intense peaks (10 to 80 degrees two-theta), sorted by position:
2θ = 21.7°, I 256; 2θ = 24.3°, I 693; 2θ = 28.0°, I 1000; 2θ = 29.3°, I 320; 2θ = 30.9°, I 424; 2θ = 31.3°, I 639; 2θ = 35.4°, I 336; 2θ = 38.0°, I 259; 2θ = 49.0°, I 288; 2θ = 49.7°, I 219

Structural model:
Lattice parameters (Å, degrees): 12.932 12.932 4.739 90.00 90.00 90.00
Space group I4/m (No. 87)
One atom of each set of equivalent atoms:
Ba: 0.000 0.000 0.000 [2 per cell]
Ba: 0.134 0.207 0.500 [8 per cell]
Mg: 0.073 0.605 0.500 [8 per cell]
Si: 0.048 0.722 0.000 [8 per cell]


Simulated X-ray powder pattern
Compound: Sr2CaTl6
Radiation: Cu Ka
Structure: a DFT-relaxed cell (GGA-PBE, Alexandria)
Kinematic intensities with the Lorentz-polarization factor, no thermal factor.

The 10 most intense peaks (10 to 80 degrees two-theta), sorted by position:
2θ = 13.4°, I 234; 2θ = 19.7°, I 188; 2θ = 28.5°, I 118; 2θ = 29.0°, I 233; 2θ = 30.7°, I 266; 2θ = 32.0°, I 1000; 2θ = 40.0°, I 334; 2θ = 51.3°, I 199; 2θ = 57.5°, I 128; 2θ = 61.8°, I 125

Structural model:
Lattice parameters (Å, degrees): 7.1223 7.1223 6.6185 90.00 90.00 120.00
Space group P-3m1 (No. 164)
One atom of each set of equivalent atoms:
Sr: 0.3333 0.6667 0.3342 [2 per cell]
Ca: 0.0000 0.0000 0.5000 [1 per cell]
Tl: 0.1836 0.3673 0.8302 [6 per cell]